Entry 1:
Starting from a crystal structure in the Materials Project, relaxed with PBE, the powder X-ray diffraction pattern of ZnAgF5 was simulated for a wavelength of 1.5418 Å.
Peak positions follow from Bragg's law for the DFT cell and can differ from measured ones.

Principal peaks in the range 2θ = 15–90°, by angle:
hkl 1 -1 1, 22.29 deg, rel. 100
hkl 0 1 1, 25.33 deg, rel. 75
hkl 1 0 -2, 25.71 deg, rel. 70
hkl 1 1 -1, 28.31 deg, rel. 43
hkl -1 1 3, 43.17 deg, rel. 22
hkl 2 -2 2, 45.49 deg, rel. 26
hkl 1 2 0, 48.14 deg, rel. 19
hkl 2 1 -3, 48.79 deg, rel. 25
hkl 1 2 -4, 54.45 deg, rel. 21
hkl 3 0 2, 68.59 deg, rel. 16

Crystal structure
```
data_ZnAgF5
_chemical_formula_sum 'Zn2 Ag2 F10'
_space_group_name_H-M_alt 'P 1'
_space_group_IT_number 1
_space_group_name_Hall 'P 1'
_cell_length_a 5.5046
_cell_length_b 5.5358
_cell_length_c 8.0007
_cell_angle_alpha 105.97
_cell_angle_beta 99.19
_cell_angle_gamma 110.35
loop_
_atom_site_label
_atom_site_type_symbol
_atom_site_fract_x
_atom_site_fract_y
_atom_site_fract_z
Zn1 Zn 0.0000 0.0000 0.0000
Zn2 Zn 0.0296 0.5222 0.4931
Ag1 Ag 0.5134 0.2606 0.7472
Ag2 Ag 0.5170 0.7617 0.2466
F1 F 0.1858 0.0269 0.8110
F2 F 0.2160 0.3737 0.1855
F3 F 0.2420 0.8552 0.1154
F4 F 0.2914 0.4007 0.6139
F5 F 0.3340 0.8288 0.4961
F6 F 0.6957 0.6916 0.9978
F7 F 0.7363 0.1207 0.8803
F8 F 0.7883 0.6694 0.3782
F9 F 0.8161 0.1499 0.3066
F10 F 0.8400 0.4918 0.6816
```

=====

Entry 2:
Starting from a crystal structure in the Materials Project, relaxed with PBE, the powder X-ray diffraction pattern of Na6Ti6O13 was simulated for a wavelength of 1.5418 Å.
Peak positions follow from Bragg's law for the DFT cell and can differ from measured ones.

Principal peaks in the range 2θ = 15–90°, by angle:
hkl 1 1 0, 22.71 deg, rel. 52
hkl 3 1 0, 27.50 deg, rel. 72
hkl 2 0 -3, 28.37 deg, rel. 36
hkl 4 0 2, 33.41 deg, rel. 94
hkl 5 1 -1, 34.44 deg, rel. 63
hkl 1 1 -3, 36.27 deg, rel. 61
hkl 6 0 2, 43.29 deg, rel. 35
hkl 6 0 -4, 43.98 deg, rel. 72
hkl 0 2 0, 44.97 deg, rel. 100
hkl 6 2 -4, 64.71 deg, rel. 39

Crystal structure
```
data_Na6Ti6O13
_chemical_formula_sum 'Na12 Ti12 O26'
_space_group_name_H-M_alt 'C 1 2/m 1'
_space_group_IT_number 12
_space_group_name_Hall '-C 2y'
_cell_length_a 17.1044
_cell_length_b 4.0317
_cell_length_c 9.4714
_cell_angle_alpha 90.00
_cell_angle_beta 106.65
_cell_angle_gamma 90.00
loop_
_atom_site_label
_atom_site_type_symbol
_atom_site_fract_x
_atom_site_fract_y
_atom_site_fract_z
Na1 Na 0.0209 0.0000 0.1571
Na2 Na 0.0489 0.5000 0.7104
Na3 Na 0.0965 0.0000 0.5291
Ti1 Ti 0.1257 0.5000 0.0733
Ti2 Ti 0.1847 0.5000 0.4150
Ti3 Ti 0.2395 0.5000 0.7836
O1 O 0.0000 0.5000 0.0000
O2 O 0.0853 0.5000 0.2792
O3 O 0.1382 0.0000 0.0883
O4 O 0.1516 0.5000 0.5956
O5 O 0.1711 0.5000 0.9003
O6 O 0.1994 0.0000 0.4194
O7 O 0.2377 0.5000 0.2359
```

=====

Copy entry 2 word for word.
Starting from a crystal structure in the Materials Project, relaxed with PBE, the powder X-ray diffraction pattern of Na6Ti6O13 was simulated for a wavelength of 1.5418 Å.
Peak positions follow from Bragg's law for the DFT cell and can differ from measured ones.

Principal peaks in the range 2θ = 15–90°, by angle:
hkl 1 1 0, 22.71 deg, rel. 52
hkl 3 1 0, 27.50 deg, rel. 72
hkl 2 0 -3, 28.37 deg, rel. 36
hkl 4 0 2, 33.41 deg, rel. 94
hkl 5 1 -1, 34.44 deg, rel. 63
hkl 1 1 -3, 36.27 deg, rel. 61
hkl 6 0 2, 43.29 deg, rel. 35
hkl 6 0 -4, 43.98 deg, rel. 72
hkl 0 2 0, 44.97 deg, rel. 100
hkl 6 2 -4, 64.71 deg, rel. 39

Crystal structure
```
data_Na6Ti6O13
_chemical_formula_sum 'Na12 Ti12 O26'
_space_group_name_H-M_alt 'C 1 2/m 1'
_space_group_IT_number 12
_space_group_name_Hall '-C 2y'
_cell_length_a 17.1044
_cell_length_b 4.0317
_cell_length_c 9.4714
_cell_angle_alpha 90.00
_cell_angle_beta 106.65
_cell_angle_gamma 90.00
loop_
_atom_site_label
_atom_site_type_symbol
_atom_site_fract_x
_atom_site_fract_y
_atom_site_fract_z
Na1 Na 0.0209 0.0000 0.1571
Na2 Na 0.0489 0.5000 0.7104
Na3 Na 0.0965 0.0000 0.5291
Ti1 Ti 0.1257 0.5000 0.0733
Ti2 Ti 0.1847 0.5000 0.4150
Ti3 Ti 0.2395 0.5000 0.7836
O1 O 0.0000 0.5000 0.0000
O2 O 0.0853 0.5000 0.2792
O3 O 0.1382 0.0000 0.0883
O4 O 0.1516 0.5000 0.5956
O5 O 0.1711 0.5000 0.9003
O6 O 0.1994 0.0000 0.4194
O7 O 0.2377 0.5000 0.2359
```